Simulated powder diffraction line list of PuCrBiO6 for Cu Kα (weighted mean of Kα1 and Kα2), from a DFT-relaxed cell (GGA+U, Alexandria).
Lines closer than 0.1° are merged.

Largest 8 diffraction maxima, by angle, 10 to 80 degrees two-theta:
2θ = 21.00°, rel. 30.6, (1 0 1); 2θ = 26.09°, rel. 100.0, (1 0 2); 2θ = 33.26°, rel. 43.1, (1 1 0); 2θ = 42.76°, rel. 26.6, (2 0 2); 2θ = 49.69°, rel. 40.9, (1 1 4); 2θ = 55.22°, rel. 25.9, (2 1 2); 2θ = 59.44°, rel. 13.5, (3 0 0); 2θ = 75.95°, rel. 12.6, (0 0 8)

Unit cell a=5.3871 b=5.3871 c=10.0235 alpha=90.00 beta=90.00 gamma=120.00
Sites, in units of the cell vectors:
Pu: 0.3333 0.6667 0.2500
Pu: 0.6667 0.3333 0.7500
Cr: 0.3333 0.6667 0.7500
Cr: 0.6667 0.3333 0.2500
Bi: 0.0000 0.0000 0.0000
Bi: 0.0000 0.0000 0.5000
O: 0.0079 0.3626 0.6400
O: 0.0079 0.6453 0.8600
O: 0.3547 0.3626 0.8600
O: 0.3547 0.9921 0.6400
O: 0.3626 0.0079 0.1400
O: 0.3626 0.3547 0.3600
O: 0.6374 0.6453 0.6400
O: 0.6374 0.9921 0.8600
O: 0.6453 0.0079 0.3600
O: 0.6453 0.6374 0.1400
O: 0.9921 0.3547 0.1400
O: 0.9921 0.6374 0.3600